No. 1
Structure and simulated XRD peak list of PrAgGe (a GGA-PBE-relaxed structure; a wavelength of 1.5418 Å).

Cell and atoms:
abc: 4.5853 4.5853 7.7455
angles: 90.00 90.00 120.00
Fractional positions:
Pr  0.0000  0.0000  0.0000
Pr  0.0000  0.0000  0.5000
Ag  0.3333  0.6667  0.2688
Ag  0.6667  0.3333  0.7688
Ge  0.3333  0.6667  0.7121
Ge  0.6667  0.3333  0.2121

Most intense lines, 10° ≤ 2θ ≤ 90°, by angle:
- 2θ = 22.39°, I 5
- 2θ = 25.20°, I 7
- 2θ = 32.29°, I 100
- 2θ = 39.30°, I 60
- 2θ = 41.73°, I 7
- 2θ = 46.92°, I 9
- 2θ = 51.74°, I 26
- 2θ = 62.82°, I 22
- 2θ = 66.85°, I 24
- 2θ = 71.24°, I 10
- 2θ = 84.52°, I 6
- 2θ = 89.74°, I 9

***

No. 2
Structure and simulated XRD peak list of Pr3Ag4Ge4 (a GGA-PBE-relaxed structure; a wavelength of 1.5418 Å).

Cell and atoms:
abc: 8.5825 8.5825 8.5825
angles: 149.66 130.10 59.52
Fractional positions:
Pr  0.0000  0.0000  0.0000
Pr  0.3722  0.8722  0.5000
Pr  0.6278  0.1278  0.5000
Ag  0.0259  0.3315  0.6944
Ag  0.3630  0.6685  0.6944
Ag  0.6370  0.3315  0.3056
Ag  0.9741  0.6685  0.3056
Ge  0.2166  0.2166  0.0000
Ge  0.3187  0.5000  0.8187
Ge  0.6813  0.5000  0.1813
Ge  0.7834  0.7834  0.0000

Most intense lines, 10° ≤ 2θ ≤ 90°, by angle:
- 2θ = 32.32°, I 100
- 2θ = 32.49°, I 28
- 2θ = 33.62°, I 96
- 2θ = 36.17°, I 33
- 2θ = 36.66°, I 29
- 2θ = 40.16°, I 47
- 2θ = 41.60°, I 39
- 2θ = 44.26°, I 31
- 2θ = 55.11°, I 20
- 2θ = 59.20°, I 27
- 2θ = 68.80°, I 17
- 2θ = 73.22°, I 16

***

No. 3
Structure and simulated XRD peak list of Rb2Ag2GeS4 (a GGA-PBE-relaxed structure; a wavelength of 1.5418 Å).

Cell and atoms:
abc: 11.9178 11.9178 6.4002
angles: 98.00 98.00 142.54
Fractional positions:
Rb  0.0617  0.9383  0.7500
Rb  0.1918  0.8082  0.2500
Rb  0.8082  0.1918  0.7500
Rb  0.9383  0.0617  0.2500
Ag  0.3155  0.6845  0.7500
Ag  0.4676  0.5324  0.7500
Ag  0.5324  0.4676  0.2500
Ag  0.6845  0.3155  0.2500
Ge  0.3768  0.6232  0.2500
Ge  0.6232  0.3768  0.7500
S  0.1220  0.4836  0.3414
S  0.2334  0.3657  0.9524
S  0.3657  0.2334  0.4524
S  0.4836  0.1220  0.8414
S  0.5164  0.8780  0.1586
S  0.6343  0.7666  0.5476
S  0.7666  0.6343  0.0476
S  0.8780  0.5164  0.6586

Most intense lines, 10° ≤ 2θ ≤ 90°, by angle:
- 2θ = 13.42°, I 91
- 2θ = 25.83°, I 79
- 2θ = 26.83°, I 32
- 2θ = 28.32°, I 55
- 2θ = 28.50°, I 100
- 2θ = 30.60°, I 89
- 2θ = 31.01°, I 74
- 2θ = 31.23°, I 59
- 2θ = 31.70°, I 88
- 2θ = 33.68°, I 41
- 2θ = 48.36°, I 36
- 2θ = 54.53°, I 37

***

No. 4
Structure and simulated XRD peak list of Ag8GeS6 (a GGA-PBE-relaxed structure; a wavelength of 1.5418 Å).

Cell and atoms:
abc: 15.3132 7.6262 10.7432
angles: 90.00 90.00 90.00
Fractional positions:
Ag  0.0165  0.0165  0.0000
Ag  0.0631  0.2338  0.2238
Ag  0.0664  0.5665  0.9102
Ag  0.0876  0.6109  0.5786
Ag  0.1295  0.2705  0.7581
Ag  0.2284  0.0051  0.9832
Ag  0.2290  0.8791  0.5794
Ag  0.2394  0.6263  0.7938
Ag  0.2606  0.1263  0.2938
Ag  0.2710  0.3791  0.0794
Ag  0.2716  0.5051  0.4832
Ag  0.3705  0.7705  0.2581
Ag  0.4124  0.1109  0.0786
Ag  0.4336  0.0665  0.4102
Ag  0.4369  0.7338  0.7238
Ag  0.4835  0.5165  0.5000
Ag  0.5165  0.4835  0.0000
Ag  0.5631  0.2662  0.2238
Ag  0.5664  0.9335  0.9102
Ag  0.5876  0.8891  0.5786
Ag  0.6295  0.2295  0.7581
Ag  0.7284  0.4949  0.9832
Ag  0.7290  0.6209  0.5794
Ag  0.7394  0.8737  0.7938
Ag  0.7606  0.3737  0.2938
Ag  0.7710  0.1209  0.0794
Ag  0.7716  0.9949  0.4832
Ag  0.8705  0.7295  0.2581
Ag  0.9124  0.3891  0.0786
Ag  0.9336  0.4335  0.4102
Ag  0.9369  0.7662  0.7238
Ag  0.9835  0.9835  0.5000
Ge  0.1238  0.7338  0.2386
Ge  0.3762  0.2338  0.7386
Ge  0.6238  0.7662  0.2386
Ge  0.8762  0.2662  0.7386
S  0.0052  0.7307  0.1160
S  0.1122  0.8127  0.7560
S  0.1208  0.4969  0.3633
S  0.1237  0.2654  0.9938
S  0.1268  0.9736  0.3620
S  0.2419  0.7256  0.1159
S  0.2581  0.2256  0.6159
S  0.3732  0.4736  0.8620
S  0.3763  0.7654  0.4938
S  0.3792  0.9969  0.8633
S  0.3878  0.3127  0.2560
S  0.4948  0.2307  0.6160
S  0.5052  0.7693  0.1160
S  0.6122  0.6873  0.7560
S  0.6208  0.0031  0.3633
S  0.6237  0.2346  0.9938
S  0.6268  0.5264  0.3620
S  0.7419  0.7744  0.1159
S  0.7581  0.2744  0.6159
S  0.8732  0.0264  0.8620
S  0.8763  0.7346  0.4938
S  0.8792  0.5031  0.8633
S  0.8878  0.1873  0.2560
S  0.9948  0.2693  0.6160

Most intense lines, 10° ≤ 2θ ≤ 90°, by angle:
- 2θ = 14.23°, I 22
- 2θ = 27.36°, I 23
- 2θ = 28.14°, I 19
- 2θ = 28.69°, I 100
- 2θ = 31.48°, I 18
- 2θ = 32.73°, I 41
- 2θ = 33.75°, I 27
- 2θ = 35.75°, I 23
- 2θ = 36.32°, I 32
- 2θ = 40.52°, I 16
- 2θ = 43.51°, I 22
- 2θ = 47.75°, I 34

***

Repeat the second record exactly.
Structure and simulated XRD peak list of Pr3Ag4Ge4 (a GGA-PBE-relaxed structure; a wavelength of 1.5418 Å).

Cell and atoms:
abc: 8.5825 8.5825 8.5825
angles: 149.66 130.10 59.52
Fractional positions:
Pr  0.0000  0.0000  0.0000
Pr  0.3722  0.8722  0.5000
Pr  0.6278  0.1278  0.5000
Ag  0.0259  0.3315  0.6944
Ag  0.3630  0.6685  0.6944
Ag  0.6370  0.3315  0.3056
Ag  0.9741  0.6685  0.3056
Ge  0.2166  0.2166  0.0000
Ge  0.3187  0.5000  0.8187
Ge  0.6813  0.5000  0.1813
Ge  0.7834  0.7834  0.0000

Most intense lines, 10° ≤ 2θ ≤ 90°, by angle:
- 2θ = 32.32°, I 100
- 2θ = 32.49°, I 28
- 2θ = 33.62°, I 96
- 2θ = 36.17°, I 33
- 2θ = 36.66°, I 29
- 2θ = 40.16°, I 47
- 2θ = 41.60°, I 39
- 2θ = 44.26°, I 31
- 2θ = 55.11°, I 20
- 2θ = 59.20°, I 27
- 2θ = 68.80°, I 17
- 2θ = 73.22°, I 16

***

> Number 2 is which compound?

Pr3Ag4Ge4